# CsScTeBr2
Simulated XRD peak list, copper Kα. Input: DFT lattice parameters and positions (GGA-PBE).
No peak broadening, texture or thermal motion is included.

Peak list (10 most intense, 2θ from 5° to 70°, most intense first)
two_theta  d_spacing  Rel. int.  h k l
27.7  3.224  100.0  1 1 1
32.2  2.778  51.6  2 0 0
45.9  1.979  37.7  2 0 2
54.7  1.677  29.4  3 1 1
31.7  2.820  26.9  0 0 2
57.1  1.612  19.4  2 2 2
46.2  1.964  18.4  2 2 0
54.1  1.696  15.2  1 1 3
22.6  3.929  10.7  1 1 0
67.4  1.389  5.9  4 0 0

Crystal structure
```
data_CsScTeBr2
_chemical_formula_sum 'Cs1 Sc1 Te1 Br2'
_cell_length_a 5.5560
_cell_length_b 5.5560
_cell_length_c 5.6401
_cell_angle_alpha 90.00
_cell_angle_beta 90.00
_cell_angle_gamma 90.00
_symmetry_space_group_name_H-M 'P 4/m m m'
_symmetry_Int_Tables_number 123
_symmetry_space_group_name_Hall '-P 4 2'
loop_
_atom_site_label
_atom_site_fract_x
_atom_site_fract_y
_atom_site_fract_z
Cs1 0.0000 0.0000 0.0000
Sc1 0.5000 0.5000 0.5000
Te1 0.5000 0.5000 0.0000
Br1 0.0000 0.5000 0.5000
```



# CsSeBr5
Simulated XRD peak list, copper Kα. Input: DFT lattice parameters and positions (GGA-PBE).
No peak broadening, texture or thermal motion is included.

Peak list (10 most intense, 2θ from 5° to 70°, most intense first)
two_theta  d_spacing  Rel. int.  h k l
16.4  5.397  100.0  0 2 0
30.2  2.956  56.3  0 2 2
23.3  3.819  46.3  1 2 1
21.1  4.208  38.3  2 0 0
35.2  2.549  36.1  2 3 1
28.6  3.120  34.0  1 1 2
26.0  3.428  33.8  2 1 1
53.6  1.711  33.5  3 2 3
38.3  2.347  33.4  3 2 1
34.4  2.607  24.5  3 0 1

Crystal structure
```
data_CsSeBr5
_chemical_formula_sum 'Cs2 Se2 Br10'
_cell_length_a 8.4158
_cell_length_b 10.7800
_cell_length_c 7.0695
_cell_angle_alpha 90.00
_cell_angle_beta 90.00
_cell_angle_gamma 90.00
_symmetry_space_group_name_H-M 'I m m 2'
_symmetry_Int_Tables_number 44
loop_
_symmetry_equiv_pos_as_xyz
'x,y,z'
'-x,-y,z'
'-x,y,z'
'x,-y,z'
'x+1/2,y+1/2,z+1/2'
'-x+1/2,-y+1/2,z+1/2'
'-x+1/2,y+1/2,z+1/2'
'x+1/2,-y+1/2,z+1/2'
loop_
_atom_site_label
_atom_site_fract_x
_atom_site_fract_y
_atom_site_fract_z
Cs1 0.0000 0.0000 0.0000
Se1 0.0000 0.5000 0.9781
Br1 0.0000 0.3082 0.7714
Br2 0.0000 0.5000 0.3332
Br3 0.1903 0.0000 0.4859
```



# CsTc3Se4Br2
Simulated XRD peak list, copper Kα. Input: DFT lattice parameters and positions (GGA-PBE).
No peak broadening, texture or thermal motion is included.

Peak list (10 most intense, 2θ from 5° to 70°, most intense first)
two_theta  d_spacing  Rel. int.  h k l
10.3  8.555  100.0  0 1 1
9.0  9.783  55.5  0 2 0
29.3  3.051  22.7  1 3 -3
16.5  5.379  21.3  0 3 1
46.7  1.946  20.5  2 8 -2
14.5  6.105  19.9  1 1 -1
30.4  2.938  18.0  2 3 -1
43.9  2.063  17.3  1 1 -5
14.7  6.032  15.1  1 0 0
27.4  3.257  14.8  0 6 0

Crystal structure
```
data_CsTc3Se4Br2
_chemical_formula_sum 'Cs4 Tc12 Se16 Br8'
_cell_length_a 6.6156
_cell_length_b 19.5651
_cell_length_c 10.4326
_cell_angle_alpha 90.00
_cell_angle_beta 114.25
_cell_angle_gamma 90.00
_symmetry_space_group_name_H-M 'P 1 21/c 1'
_symmetry_Int_Tables_number 14
loop_
_symmetry_equiv_pos_as_xyz
'x,y,z'
'-x,-y,-z'
'-x,y+1/2,-z+1/2'
'x,-y+1/2,z+1/2'
loop_
_atom_site_label
_atom_site_fract_x
_atom_site_fract_y
_atom_site_fract_z
Cs1 0.0179 0.1898 0.0313
Tc1 0.1389 0.5771 0.1065
Tc2 0.1672 0.0581 0.6489
Tc3 0.2182 0.0049 0.4320
Se1 0.0857 0.5225 0.3102
Se2 0.1839 0.6222 0.8935
Se3 0.2377 0.1317 0.4735
Se4 0.4951 0.0143 0.3087
Br1 0.3204 0.6872 0.2497
Br2 0.3885 0.1404 0.8540
```



# Cs2ZrSeBr6
Simulated XRD peak list, copper Kα. Input: DFT lattice parameters and positions (GGA-PBE).
No peak broadening, texture or thermal motion is included.

Peak list (10 most intense, 2θ from 5° to 70°, most intense first)
two_theta  d_spacing  Rel. int.  h k l
28.3  3.156  100.0  2 2 0
26.3  3.393  97.2  2 0 2
45.1  2.012  54.3  2 2 4
22.1  4.024  42.4  1 1 2
34.3  2.611  35.0  0 0 4
19.9  4.463  31.1  2 0 0
40.4  2.232  31.1  4 0 0
54.1  1.697  26.2  4 0 4
48.8  1.865  19.7  4 2 2
13.0  6.786  14.4  1 0 1

Crystal structure
```
data_Cs2ZrSeBr6
_chemical_formula_sum 'Cs4 Zr2 Se2 Br12'
_cell_length_a 8.9270
_cell_length_b 8.9270
_cell_length_c 10.4454
_cell_angle_alpha 90.00
_cell_angle_beta 90.00
_cell_angle_gamma 90.00
_symmetry_space_group_name_H-M 'I 4/m m m'
_symmetry_Int_Tables_number 139
_symmetry_space_group_name_Hall '-I 4 2'
loop_
_atom_site_label
_atom_site_fract_x
_atom_site_fract_y
_atom_site_fract_z
Cs1 0.0000 0.5000 0.2500
Zr1 0.0000 0.0000 0.0000
Se1 0.0000 0.0000 0.5000
Br1 0.0000 0.0000 0.2538
Br2 0.2105 0.2105 0.0000
```



# CsSiBr3
Simulated XRD peak list, copper Kα. Input: DFT lattice parameters and positions (GGA-PBE).
No peak broadening, texture or thermal motion is included.

Peak list (10 most intense, 2θ from 5° to 70°, most intense first)
two_theta  d_spacing  Rel. int.  h k l
23.3  3.818  100.0  0 2 0
26.8  3.329  96.1  2 0 2
33.3  2.688  88.9  2 2 2
26.0  3.429  64.2  0 1 2
31.8  2.817  45.9  0 1 -2
30.7  2.916  44.4  2 1 0
52.5  1.743  27.2  2 3 4
13.3  6.658  26.2  1 0 1
28.4  3.140  18.7  1 2 0
27.8  3.208  18.6  2 -1 0

Crystal structure
```
data_CsSiBr3
_chemical_formula_sum 'Cs2 Si2 Br6'
_cell_length_a 7.6620
_cell_length_b 7.9140
_cell_length_c 7.9471
_cell_angle_alpha 76.62
_cell_angle_beta 61.32
_cell_angle_gamma 89.93
_symmetry_space_group_name_H-M 'P -1'
_symmetry_Int_Tables_number 2
loop_
_symmetry_equiv_pos_as_xyz
'x,y,z'
'-x,-y,-z'
loop_
_atom_site_label
_atom_site_fract_x
_atom_site_fract_y
_atom_site_fract_z
Cs1 0.2013 0.2026 0.0981
Si1 0.0888 0.6098 0.3233
Br1 0.1764 0.2168 0.6168
Br2 0.2749 0.7218 0.9505
Br3 0.2951 0.7802 0.3842
```



# Cs2SmBr6
Simulated XRD peak list, copper Kα. Input: DFT lattice parameters and positions (GGA-PBE).
No peak broadening, texture or thermal motion is included.

Peak list (10 most intense, 2θ from 5° to 70°, most intense first)
two_theta  d_spacing  Rel. int.  h k l
35.7  2.517  100.0  1 5 1
27.4  3.261  88.8  1 0 2
34.0  2.640  69.4  0 3 3
29.6  3.015  57.3  1 4 0
19.4  4.572  39.8  0 3 1
52.4  1.745  39.6  2 3 3
11.2  7.920  37.7  0 1 1
38.7  2.326  30.1  2 0 0
22.2  4.011  27.0  1 1 1
56.8  1.620  24.4  1 6 4

Crystal structure
```
data_Cs2SmBr6
_chemical_formula_sum 'Cs4 Sm2 Br12'
_cell_length_a 4.6517
_cell_length_b 15.8467
_cell_length_c 9.1404
_cell_angle_alpha 90.00
_cell_angle_beta 90.00
_cell_angle_gamma 90.00
_symmetry_space_group_name_H-M 'A m m 2'
_symmetry_Int_Tables_number 38
loop_
_symmetry_equiv_pos_as_xyz
'x,y,z'
'-x,-y,z'
'-x,y,z'
'x,-y,z'
'x,y+1/2,z+1/2'
'-x,-y+1/2,z+1/2'
'-x,y+1/2,z+1/2'
'x,-y+1/2,z+1/2'
loop_
_atom_site_label
_atom_site_fract_x
_atom_site_fract_y
_atom_site_fract_z
Cs1 0.0000 0.1668 0.0000
Sm1 0.5000 0.0000 0.5007
Br1 0.0000 0.0000 0.7240
Br2 0.0000 0.1115 0.3886
Br3 0.5000 0.0000 0.1671
Br4 0.5000 0.1669 0.6667
```



# Cs4SmBr6
Simulated XRD peak list, copper Kα. Input: DFT lattice parameters and positions (GGA-PBE).
No peak broadening, texture or thermal motion is included.

Peak list (10 most intense, 2θ from 5° to 70°, most intense first)
two_theta  d_spacing  Rel. int.  h k l
26.4  3.376  100.0  2 1 2
28.2  3.165  60.6  3 1 0
12.3  7.173  42.2  1 0 1
45.4  1.996  25.2  3 1 4
34.9  2.573  22.7  0 0 4
27.5  3.245  16.4  1 0 3
40.3  2.237  15.8  4 2 0
37.0  2.427  13.4  4 1 0
41.1  2.195  12.8  4 1 2
29.5  3.024  11.9  3 1 1

Crystal structure
```
data_Cs4SmBr6
_chemical_formula_sum 'Cs8 Sm2 Br12'
_cell_length_a 10.0054
_cell_length_b 10.0054
_cell_length_c 10.2902
_cell_angle_alpha 90.00
_cell_angle_beta 90.00
_cell_angle_gamma 90.00
_symmetry_space_group_name_H-M 'P 4/m n c'
_symmetry_Int_Tables_number 128
_symmetry_space_group_name_Hall '-P 4 2n'
loop_
_atom_site_label
_atom_site_fract_x
_atom_site_fract_y
_atom_site_fract_z
Cs1 0.1711 0.3289 0.2500
Sm1 0.0000 0.0000 0.0000
Br1 0.0000 0.0000 0.2822
Br2 0.0921 0.7133 0.0000
```



# Cs2Sm3Br10
Simulated XRD peak list, copper Kα. Input: DFT lattice parameters and positions (GGA-PBE).
No peak broadening, texture or thermal motion is included.

Peak list (10 most intense, 2θ from 5° to 70°, most intense first)
two_theta  d_spacing  Rel. int.  h k l
29.6  3.021  100.0  6 2 -1
27.8  3.215  64.7  0 2 2
19.5  4.553  58.6  6 0 -1
44.4  2.041  58.0  8 2 2
19.2  4.633  40.4  3 1 1
28.6  3.125  37.4  2 0 3
33.7  2.657  35.4  0 0 4
35.0  2.564  32.7  8 2 -2
44.9  2.019  31.2  0 4 0
16.7  5.312  29.5  0 0 2

Crystal structure
```
data_Cs2Sm3Br10
_chemical_formula_sum 'Cs8 Sm12 Br40'
_cell_length_a 27.3334
_cell_length_b 8.0756
_cell_length_c 11.4361
_cell_angle_alpha 90.00
_cell_angle_beta 111.73
_cell_angle_gamma 90.00
_symmetry_space_group_name_H-M 'C 1 2/m 1'
_symmetry_Int_Tables_number 12
loop_
_symmetry_equiv_pos_as_xyz
'x,y,z'
'-x,-y,-z'
'-x,y,-z'
'x,-y,z'
'x+1/2,y+1/2,z'
'-x+1/2,-y+1/2,-z'
'-x+1/2,y+1/2,-z'
'x+1/2,-y+1/2,z'
loop_
_atom_site_label
_atom_site_fract_x
_atom_site_fract_y
_atom_site_fract_z
Cs1 0.1204 0.0000 0.2318
Cs2 0.2284 0.0000 0.8374
Sm1 0.0000 0.2339 0.5000
Sm2 0.0772 0.5000 0.9728
Sm3 0.1796 0.5000 0.5295
Br1 0.0000 0.2627 0.0000
Br2 0.0149 0.0000 0.7015
Br3 0.0200 0.5000 0.7001
Br4 0.1124 0.2339 0.5438
Br5 0.1264 0.5000 0.2523
Br6 0.1458 0.2471 0.9770
Br7 0.2348 0.5000 0.7863
Br8 0.2500 0.2500 0.5000
```



# CsSmSnBr6
Simulated XRD peak list, copper Kα. Input: DFT lattice parameters and positions (GGA-PBE).
No peak broadening, texture or thermal motion is included.

Peak list (10 most intense, 2θ from 5° to 70°, most intense first)
two_theta  d_spacing  Rel. int.  h k l
32.4  2.764  100.0  2 -1 2
17.4  5.107  94.3  1 0 1
25.7  3.467  70.2  2 -1 1
40.5  2.225  40.9  3 0 0
37.4  2.405  34.5  3 -1 1
11.2  7.929  34.2  0 0 1
41.4  2.180  21.9  1 1 3
50.6  1.803  21.2  3 1 1
52.8  1.733  19.2  2 2 2
29.0  3.077  16.9  2 0 1

Crystal structure
```
data_CsSmSnBr6
_chemical_formula_sum 'Cs1 Sm1 Sn1 Br6'
_cell_length_a 7.7091
_cell_length_b 7.7091
_cell_length_c 7.9289
_cell_angle_alpha 90.00
_cell_angle_beta 90.00
_cell_angle_gamma 120.00
_symmetry_space_group_name_H-M 'P 3 1 2'
_symmetry_Int_Tables_number 149
loop_
_symmetry_equiv_pos_as_xyz
'x,y,z'
'-y,x-y,z'
'-x+y,-x,z'
'-y,-x,-z'
'-x+y,y,-z'
'x,x-y,-z'
loop_
_atom_site_label
_atom_site_fract_x
_atom_site_fract_y
_atom_site_fract_z
Cs1 0.0000 0.0000 0.0000
Sm1 0.6667 0.3333 0.5000
Sn1 0.3333 0.6667 0.5000
Br1 0.3843 0.0122 0.7118
```



# Cs5SnBr8
Simulated XRD peak list, copper Kα. Input: DFT lattice parameters and positions (GGA-PBE).
No peak broadening, texture or thermal motion is included.

Peak list (10 most intense, 2θ from 5° to 70°, most intense first)
two_theta  d_spacing  Rel. int.  h k l
26.5  3.370  100.0  3 1 0
24.7  3.599  94.1  1 0 3
30.0  2.982  67.9  1 2 3
26.3  3.393  58.5  3 0 1
20.2  4.401  44.3  1 2 1
37.8  2.383  38.5  2 4 0
38.5  2.338  38.4  2 3 3
30.8  2.905  36.6  1 3 2
35.6  2.524  34.0  2 0 4
42.2  2.141  29.9  1 4 3

Crystal structure
```
data_Cs5SnBr8
_chemical_formula_sum 'Cs10 Sn2 Br16'
_cell_length_a 10.6555
_cell_length_b 10.6555
_cell_length_c 11.4714
_cell_angle_alpha 90.00
_cell_angle_beta 90.00
_cell_angle_gamma 90.00
_symmetry_space_group_name_H-M 'I -4'
_symmetry_Int_Tables_number 82
loop_
_symmetry_equiv_pos_as_xyz
'x,y,z'
'y,-x,-z'
'-x,-y,z'
'-y,x,-z'
'x+1/2,y+1/2,z+1/2'
'y+1/2,-x+1/2,-z+1/2'
'-x+1/2,-y+1/2,z+1/2'
'-y+1/2,x+1/2,-z+1/2'
loop_
_atom_site_label
_atom_site_fract_x
_atom_site_fract_y
_atom_site_fract_z
Cs1 0.0000 0.0000 0.0000
Cs2 0.1348 0.7260 0.6231
Sn1 0.0000 0.5000 0.2500
Br1 0.0516 0.7430 0.3076
Br2 0.0947 0.6841 0.9369
```



# CsSnBr5
Simulated XRD peak list, copper Kα. Input: DFT lattice parameters and positions (GGA-PBE).
No peak broadening, texture or thermal motion is included.

Peak list (10 most intense, 2θ from 5° to 70°, most intense first)
two_theta  d_spacing  Rel. int.  h k l
13.2  6.685  100.0  0 1 1
13.9  6.353  81.1  1 0 1
25.3  3.516  78.5  2 1 1
29.1  3.072  46.1  1 0 3
19.6  4.522  44.0  0 2 0
31.0  2.884  35.1  0 3 1
38.0  2.365  34.6  2 3 1
42.5  2.128  34.5  2 0 4
21.5  4.134  31.9  2 0 0
34.5  2.599  28.1  2 2 2

Crystal structure
```
data_CsSnBr5
_chemical_formula_sum 'Cs2 Sn2 Br10'
_cell_length_a 8.2673
_cell_length_b 9.0436
_cell_length_c 9.9264
_cell_angle_alpha 90.00
_cell_angle_beta 90.00
_cell_angle_gamma 90.00
_symmetry_space_group_name_H-M 'I m m 2'
_symmetry_Int_Tables_number 44
loop_
_symmetry_equiv_pos_as_xyz
'x,y,z'
'-x,-y,z'
'-x,y,z'
'x,-y,z'
'x+1/2,y+1/2,z+1/2'
'-x+1/2,-y+1/2,z+1/2'
'-x+1/2,y+1/2,z+1/2'
'x+1/2,-y+1/2,z+1/2'
loop_
_atom_site_label
_atom_site_fract_x
_atom_site_fract_y
_atom_site_fract_z
Cs1 0.0000 0.0000 0.0000
Sn1 0.0000 0.5000 0.3007
Br1 0.0000 0.2092 0.3100
Br2 0.0000 0.5000 0.5592
Br3 0.2344 0.0000 0.6704
```



# Cs3Sn2Br7
Simulated XRD peak list, copper Kα. Input: DFT lattice parameters and positions (GGA-PBE).
No peak broadening, texture or thermal motion is included.

Peak list (10 most intense, 2θ from 5° to 70°, most intense first)
two_theta  d_spacing  Rel. int.  h k l
30.3  2.947  100.0  2 0 0
27.9  3.198  58.9  1 1 6
43.1  2.100  55.8  2 0 10
21.3  4.167  49.6  1 1 0
29.9  2.993  38.5  0 0 10
21.2  4.199  38.1  1 0 5
43.4  2.084  36.8  2 2 0
53.6  1.710  29.2  2 2 10
52.4  1.746  19.1  3 1 6
30.9  2.896  18.7  1 0 9

Crystal structure
```
data_Cs3Sn2Br7
_chemical_formula_sum 'Cs6 Sn4 Br14'
_cell_length_a 5.8937
_cell_length_b 5.8937
_cell_length_c 29.9269
_cell_angle_alpha 90.00
_cell_angle_beta 90.00
_cell_angle_gamma 90.00
_symmetry_space_group_name_H-M 'I 4/m m m'
_symmetry_Int_Tables_number 139
_symmetry_space_group_name_Hall '-I 4 2'
loop_
_atom_site_label
_atom_site_fract_x
_atom_site_fract_y
_atom_site_fract_z
Cs1 0.0000 0.0000 0.0000
Cs2 0.0000 0.0000 0.1809
Sn1 0.0000 0.0000 0.3995
Br1 0.0000 0.0000 0.3020
Br2 0.0000 0.0000 0.5000
Br3 0.0000 0.5000 0.0978
```